(1)
Computed powder diffraction line list of PmMg16Al12 for Cu Kα (weighted mean of Kα1 and Kα2), from a structure optimized by DFT (GGA-PBE).
Intensities are scaled so that the largest is 100.

Structural model:
```
data_PmMg16Al12
_chemical_formula_sum 'Pm3 Mg48 Al36'
_space_group_name_H-M_alt 'R 3 m'
_space_group_IT_number 160
_space_group_name_Hall 'R 3 -2"'
_cell_length_a 15.2442
_cell_length_b 15.2442
_cell_length_c 8.9054
_cell_angle_alpha 90.00
_cell_angle_beta 90.00
_cell_angle_gamma 120.00
loop_
_atom_site_label
_atom_site_fract_x
_atom_site_fract_y
_atom_site_fract_z
Pm1 0.0000 0.0000 0.0000
Mg1 0.0000 0.0000 0.6213
Mg2 0.0327 0.3599 0.9867
Mg3 0.1062 0.5531 0.1739
Mg4 0.1105 0.2211 0.1276
Mg5 0.1997 0.3994 0.7408
Al1 0.0016 0.1825 0.8078
Al2 0.1214 0.0607 0.3161
Al3 0.2124 0.4248 0.2238
```

The 12 most intense peaks (5 to 70 degrees two-theta), in order of rising 2θ:
| h k l | 2theta | I (rel.) |
| --- | --- | --- |
| 1 1 0 | 11.6 | 65 |
| 1 0 1 | 12.0 | 37 |
| 0 2 1 | 16.7 | 25 |
| 2 1 1 | 20.4 | 28 |
| 3 3 0 | 35.3 | 57 |
| 0 5 1 | 35.5 | 31 |
| 2 3 2 | 35.9 | 98 |
| 0 3 3 | 36.5 | 100 |
| 5 1 1 | 39.3 | 49 |
| 1 0 4 | 41.1 | 29 |
| 4 2 2 | 41.5 | 24 |
| 3 6 3 | 64.2 | 29 |

(2)
Computed powder diffraction line list of Sr2Sb3Pd3 for Cu Kα (weighted mean of Kα1 and Kα2), from a structure optimized by DFT (GGA-PBE).
Intensities are scaled so that the largest is 100.

Structural model:
```
data_Sr2Sb3Pd3
_chemical_formula_sum 'Sr2 Sb3 Pd3'
_space_group_name_H-M_alt 'P 4/m m m'
_space_group_IT_number 123
_space_group_name_Hall '-P 4 2'
_cell_length_a 3.173
_cell_length_b 3.173
_cell_length_c 22.451
_cell_angle_alpha 90.00
_cell_angle_beta 90.00
_cell_angle_gamma 90.00
loop_
_atom_site_label
_atom_site_fract_x
_atom_site_fract_y
_atom_site_fract_z
Sr1 0.000 0.000 0.242
Sb1 0.000 0.000 0.000
Sb2 0.000 0.000 0.386
Pd1 0.000 0.000 0.115
Pd2 0.000 0.000 0.500
```

The 12 most intense peaks (5 to 70 degrees two-theta), in order of rising 2θ:
| h k l | 2theta | I (rel.) |
| --- | --- | --- |
| 0 0 2 | 7.9 | 15 |
| 1 0 0 | 28.1 | 100 |
| 1 0 2 | 29.3 | 3 |
| 0 0 8 | 31.9 | 30 |
| 1 1 0 | 40.2 | 41 |
| 1 0 8 | 43.0 | 52 |
| 1 0 10 | 49.8 | 6 |
| 1 1 8 | 52.2 | 29 |
| 2 0 0 | 58.1 | 17 |
| 2 1 0 | 65.8 | 17 |
| 0 0 16 | 66.7 | 2 |
| 2 0 8 | 67.9 | 13 |

(3)
Computed powder diffraction line list of Gd2B3C2 for Cu Kα (weighted mean of Kα1 and Kα2), from a structure optimized by DFT (GGA-PBE).
Intensities are scaled so that the largest is 100.

Structural model:
```
data_Gd2B3C2
_chemical_formula_sum 'Gd4 B6 C4'
_space_group_name_H-M_alt 'C m m m'
_space_group_IT_number 65
_space_group_name_Hall '-C 2 2'
_cell_length_a 3.422
_cell_length_b 13.709
_cell_length_c 3.720
_cell_angle_alpha 90.00
_cell_angle_beta 90.00
_cell_angle_gamma 90.00
loop_
_atom_site_label
_atom_site_fract_x
_atom_site_fract_y
_atom_site_fract_z
Gd1 0.000 0.135 0.000
B1 0.000 0.283 0.500
B2 0.000 0.500 0.500
C1 0.000 0.395 0.500
```

The 12 most intense peaks (5 to 70 degrees two-theta), in order of rising 2θ:
| h k l | 2theta | I (rel.) |
| --- | --- | --- |
| 0 0 1 | 23.9 | 89 |
| 0 4 0 | 26.0 | 99 |
| 1 1 0 | 26.8 | 61 |
| 1 3 0 | 32.7 | 74 |
| 0 4 1 | 35.6 | 88 |
| 1 1 1 | 36.3 | 100 |
| 1 3 1 | 40.9 | 93 |
| 2 0 0 | 53.5 | 31 |
| 1 7 0 | 53.9 | 26 |
| 2 0 1 | 59.4 | 31 |
| 1 7 1 | 59.8 | 35 |
| 2 4 1 | 66.0 | 29 |

(4)
Computed powder diffraction line list of Ca4SN4 for Cu Kα (weighted mean of Kα1 and Kα2), from a structure optimized by DFT (GGA-PBE).
Intensities are scaled so that the largest is 100.

Structural model:
```
data_Ca4SN4
_chemical_formula_sum 'Ca16 S4 N16'
_space_group_name_H-M_alt 'P n m a'
_space_group_IT_number 62
_cell_length_a 11.630
_cell_length_b 3.553
_cell_length_c 14.654
_cell_angle_alpha 90.00
_cell_angle_beta 90.00
_cell_angle_gamma 90.00
loop_
_space_group_symop_operation_xyz
'x,y,z'
'-x,-y,-z'
'-x+1/2,-y,z+1/2'
'x+1/2,y,-z+1/2'
'x+1/2,-y+1/2,-z+1/2'
'-x+1/2,y+1/2,z+1/2'
'-x,y+1/2,-z'
'x,-y+1/2,z'
loop_
_atom_site_label
_atom_site_fract_x
_atom_site_fract_y
_atom_site_fract_z
Ca1 0.111 0.250 0.171
Ca2 0.119 0.750 0.962
Ca3 0.123 0.750 0.375
Ca4 0.141 0.250 0.767
S1 0.113 0.750 0.564
N1 0.001 0.250 0.887
N2 0.051 0.750 0.657
N3 0.231 0.250 0.316
N4 0.244 0.750 0.549
```

The 12 most intense peaks (5 to 70 degrees two-theta), in order of rising 2θ:
| h k l | 2theta | I (rel.) |
| --- | --- | --- |
| 1 1 1 | 26.9 | 17 |
| 4 0 0 | 30.8 | 41 |
| 0 1 3 | 31.1 | 14 |
| 2 1 2 | 31.9 | 100 |
| 1 1 3 | 32.1 | 20 |
| 2 0 5 | 34.3 | 71 |
| 3 0 5 | 38.5 | 19 |
| 3 1 3 | 39.0 | 44 |
| 0 1 7 | 50.6 | 30 |
| 0 2 0 | 51.4 | 24 |
| 6 1 2 | 55.4 | 14 |
| 2 2 5 | 63.3 | 21 |

(5)
Computed powder diffraction line list of Tc3Pd for Cu Kα (weighted mean of Kα1 and Kα2), from a structure optimized by DFT (GGA-PBE).
Intensities are scaled so that the largest is 100.

Structural model:
```
data_Tc3Pd
_chemical_formula_sum 'Tc9 Pd3'
_space_group_name_H-M_alt 'R -3 m'
_space_group_IT_number 166
_space_group_name_Hall '-R 3 2"'
_cell_length_a 2.7424
_cell_length_b 2.7424
_cell_length_c 27.2186
_cell_angle_alpha 90.00
_cell_angle_beta 90.00
_cell_angle_gamma 120.00
loop_
_atom_site_label
_atom_site_fract_x
_atom_site_fract_y
_atom_site_fract_z
Tc1 0.0000 0.0000 0.0000
Tc2 0.0000 0.0000 0.2521
Pd1 0.0000 0.0000 0.5000
```

The 5 most intense peaks (5 to 70 degrees two-theta), in order of rising 2θ:
| h k l | 2theta | I (rel.) |
| --- | --- | --- |
| 0 0 12 | 39.7 | 34 |
| 1 0 4 | 40.2 | 100 |
| 0 1 8 | 46.6 | 65 |
| 1 0 16 | 67.8 | 20 |
| 1 1 0 | 68.4 | 20 |

(6)
Computed powder diffraction line list of CuCl2 for Cu Kα (weighted mean of Kα1 and Kα2), from a structure optimized by DFT (GGA-PBE).
Intensities are scaled so that the largest is 100.

Structural model:
```
data_CuCl2
_chemical_formula_sum 'Cu2 Cl4'
_space_group_name_H-M_alt 'C 1 2/m 1'
_space_group_IT_number 12
_cell_length_a 7.499
_cell_length_b 3.322
_cell_length_c 6.993
_cell_angle_alpha 90.00
_cell_angle_beta 119.75
_cell_angle_gamma 90.00
loop_
_space_group_symop_operation_xyz
'x,y,z'
'-x,-y,-z'
'-x,y,-z'
'x,-y,z'
'x+1/2,y+1/2,z'
'-x+1/2,-y+1/2,-z'
'-x+1/2,y+1/2,-z'
'x+1/2,-y+1/2,z'
loop_
_atom_site_label
_atom_site_fract_x
_atom_site_fract_y
_atom_site_fract_z
Cu1 0.000 0.000 0.000
Cl1 0.002 0.500 0.225
```

The 12 most intense peaks (5 to 70 degrees two-theta), in order of rising 2θ:
| h k l | 2theta | I (rel.) |
| --- | --- | --- |
| 0 0 1 | 14.6 | 100 |
| 2 0 -1 | 23.8 | 33 |
| 2 0 0 | 27.4 | 69 |
| 1 1 -1 | 30.5 | 17 |
| 1 1 1 | 36.7 | 11 |
| 1 1 -2 | 37.3 | 63 |
| 3 1 -2 | 46.4 | 27 |
| 1 1 2 | 47.5 | 26 |
| 1 1 -3 | 48.4 | 14 |
| 3 1 -3 | 51.8 | 12 |
| 0 0 4 | 61.0 | 15 |
| 2 2 0 | 62.8 | 11 |

(7)
Computed powder diffraction line list of CaEuHfGaO6 for Cu Kα (weighted mean of Kα1 and Kα2), from a structure optimized by DFT (GGA-PBE).
Intensities are scaled so that the largest is 100.

Structural model:
```
data_CaEuHfGaO6
_chemical_formula_sum 'Ca4 Eu4 Hf4 Ga4 O24'
_space_group_name_H-M_alt 'F -4 3 m'
_space_group_IT_number 216
_space_group_name_Hall 'F -4 2 3'
_cell_length_a 7.991
_cell_length_b 7.991
_cell_length_c 7.991
_cell_angle_alpha 90.00
_cell_angle_beta 90.00
_cell_angle_gamma 90.00
loop_
_atom_site_label
_atom_site_fract_x
_atom_site_fract_y
_atom_site_fract_z
Ca1 0.000 0.000 0.000
Eu1 0.000 0.000 0.500
Hf1 0.250 0.250 0.750
Ga1 0.250 0.250 0.250
O1 0.005 0.250 0.250
```

The 11 most intense peaks (5 to 70 degrees two-theta), in order of rising 2θ:
| h k l | 2theta | I (rel.) |
| --- | --- | --- |
| 1 1 1 | 19.2 | 28 |
| 2 0 0 | 22.2 | 6 |
| 2 2 0 | 31.7 | 100 |
| 3 1 1 | 37.3 | 18 |
| 4 0 0 | 45.4 | 31 |
| 3 3 1 | 49.7 | 8 |
| 4 2 0 | 51.1 | 2 |
| 4 2 2 | 56.4 | 39 |
| 3 3 3 | 60.2 | 6 |
| 4 4 0 | 66.1 | 19 |
| 5 3 1 | 69.6 | 6 |

(8)
Computed powder diffraction line list of RbLiMg14O15 for Cu Kα (weighted mean of Kα1 and Kα2), from a structure optimized by DFT (GGA-PBE).
Intensities are scaled so that the largest is 100.

Structural model:
```
data_RbLiMg14O15
_chemical_formula_sum 'Rb1 Li1 Mg14 O15'
_space_group_name_H-M_alt 'P m m 2'
_space_group_IT_number 25
_cell_length_a 4.205
_cell_length_b 8.266
_cell_length_c 10.351
_cell_angle_alpha 90.00
_cell_angle_beta 90.00
_cell_angle_gamma 90.00
loop_
_space_group_symop_operation_xyz
'x,y,z'
'-x,-y,z'
'-x,y,z'
'x,-y,z'
loop_
_atom_site_label
_atom_site_fract_x
_atom_site_fract_y
_atom_site_fract_z
Rb1 0.000 0.000 0.000
Li1 0.000 0.500 0.569
Mg1 0.000 0.000 0.539
Mg2 0.000 0.231 0.322
Mg3 0.000 0.257 0.742
Mg4 0.000 0.500 0.030
Mg5 0.500 0.000 0.325
Mg6 0.500 0.000 0.736
Mg7 0.500 0.260 0.123
Mg8 0.500 0.260 0.547
Mg9 0.500 0.500 0.356
Mg10 0.500 0.500 0.819
O1 0.000 0.000 0.346
O2 0.000 0.000 0.740
O3 0.000 0.258 0.538
O4 0.000 0.299 0.136
O5 0.000 0.500 0.808
O6 0.500 0.000 0.133
O7 0.500 0.000 0.537
O8 0.500 0.249 0.759
O9 0.500 0.269 0.327
O10 0.500 0.500 0.021
O11 0.500 0.500 0.541
```

The 12 most intense peaks (5 to 70 degrees two-theta), in order of rising 2θ:
| h k l | 2theta | I (rel.) |
| --- | --- | --- |
| 0 1 0 | 10.7 | 34 |
| 0 2 1 | 23.2 | 32 |
| 1 1 0 | 23.7 | 18 |
| 0 2 2 | 27.6 | 35 |
| 1 1 2 | 29.4 | 31 |
| 1 2 1 | 31.6 | 23 |
| 0 0 4 | 34.7 | 37 |
| 1 2 2 | 35.0 | 43 |
| 2 0 0 | 43.0 | 94 |
| 0 4 0 | 43.8 | 100 |
| 2 0 4 | 56.4 | 23 |
| 2 4 0 | 63.1 | 62 |

(9)
Computed powder diffraction line list of Zr2Sn for Cu Kα (weighted mean of Kα1 and Kα2), from a structure optimized by DFT (GGA-PBE).
Intensities are scaled so that the largest is 100.

Structural model:
```
data_Zr2Sn
_chemical_formula_sum 'Zr4 Sn2'
_space_group_name_H-M_alt 'P -6 2 m'
_space_group_IT_number 189
_space_group_name_Hall 'P -6 -2'
_cell_length_a 5.6512
_cell_length_b 5.6512
_cell_length_c 4.9524
_cell_angle_alpha 90.00
_cell_angle_beta 90.00
_cell_angle_gamma 120.00
loop_
_atom_site_label
_atom_site_fract_x
_atom_site_fract_y
_atom_site_fract_z
Zr1 0.0000 0.0000 0.0000
Zr2 0.0000 0.3509 0.5000
Sn1 0.3333 0.6667 0.0000
```

The 12 most intense peaks (5 to 70 degrees two-theta), in order of rising 2θ:
| h k l | 2theta | I (rel.) |
| --- | --- | --- |
| 0 0 1 | 17.9 | 1 |
| 1 0 0 | 18.1 | 2 |
| 1 1 0 | 31.7 | 25 |
| 0 0 2 | 36.3 | 23 |
| 1 1 1 | 36.6 | 100 |
| 2 0 1 | 41.1 | 1 |
| 1 1 2 | 48.9 | 15 |
| 3 0 0 | 56.4 | 18 |
| 1 1 3 | 65.5 | 18 |
| 2 2 0 | 66.1 | 3 |
| 3 0 2 | 68.9 | 20 |
| 2 2 1 | 69.1 | 15 |

(10)
Computed powder diffraction line list of RbCuSb2H2Se4O for Cu Kα (weighted mean of Kα1 and Kα2), from a structure optimized by DFT (GGA-PBE).
Intensities are scaled so that the largest is 100.

Structural model:
```
data_RbCuSb2H2Se4O
_chemical_formula_sum 'Rb4 Cu4 Sb8 H8 Se16 O4'
_space_group_name_H-M_alt 'P n m a'
_space_group_IT_number 62
_cell_length_a 11.366
_cell_length_b 4.117
_cell_length_c 21.422
_cell_angle_alpha 90.00
_cell_angle_beta 90.00
_cell_angle_gamma 90.00
loop_
_space_group_symop_operation_xyz
'x,y,z'
'-x,-y,-z'
'-x+1/2,-y,z+1/2'
'x+1/2,y,-z+1/2'
'x+1/2,-y+1/2,-z+1/2'
'-x+1/2,y+1/2,z+1/2'
'-x,y+1/2,-z'
'x,-y+1/2,z'
loop_
_atom_site_label
_atom_site_fract_x
_atom_site_fract_y
_atom_site_fract_z
Rb1 0.153 0.250 0.081
Cu1 0.094 0.250 0.274
Sb1 0.034 0.750 0.418
Sb2 0.138 0.250 0.762
H1 0.096 0.067 0.928
Se1 0.075 0.750 0.652
Se2 0.086 0.750 0.209
Se3 0.140 0.250 0.501
Se4 0.214 0.750 0.838
O1 0.059 0.250 0.950
```

The 12 most intense peaks (5 to 70 degrees two-theta), in order of rising 2θ:
| h k l | 2theta | I (rel.) |
| --- | --- | --- |
| 0 0 2 | 8.3 | 61 |
| 1 0 1 | 8.8 | 100 |
| 1 1 4 | 28.5 | 91 |
| 2 1 3 | 29.6 | 36 |
| 0 1 5 | 30.1 | 39 |
| 1 1 5 | 31.1 | 37 |
| 4 0 0 | 31.5 | 26 |
| 2 1 4 | 31.6 | 65 |
| 4 1 0 | 38.5 | 32 |
| 4 1 3 | 40.6 | 31 |
| 0 2 0 | 44.0 | 51 |
| 1 1 10 | 48.6 | 24 |

(11)
Computed powder diffraction line list of Ba2NdMgNbCu2O8 for Cu Kα (weighted mean of Kα1 and Kα2), from a structure optimized by DFT (GGA-PBE).
Intensities are scaled so that the largest is 100.

Structural model:
```
data_Ba2NdMgNbCu2O8
_chemical_formula_sum 'Ba4 Nd2 Mg2 Nb2 Cu4 O16'
_space_group_name_H-M_alt 'A m m 2'
_space_group_IT_number 38
_cell_length_a 11.781
_cell_length_b 6.022
_cell_length_c 6.461
_cell_angle_alpha 90.00
_cell_angle_beta 90.00
_cell_angle_gamma 90.00
loop_
_space_group_symop_operation_xyz
'x,y,z'
'-x,-y,z'
'-x,y,z'
'x,-y,z'
'x,y+1/2,z+1/2'
'-x,-y+1/2,z+1/2'
'-x,y+1/2,z+1/2'
'x,-y+1/2,z+1/2'
loop_
_atom_site_label
_atom_site_fract_x
_atom_site_fract_y
_atom_site_fract_z
Ba1 0.194 0.000 0.000
Nd1 0.500 0.000 0.226
Mg1 0.500 0.000 0.784
Nb1 0.000 0.000 0.514
Cu1 0.314 0.000 0.502
O1 0.000 0.241 0.328
O2 0.159 0.000 0.598
O3 0.386 0.228 0.898
```

The 12 most intense peaks (5 to 70 degrees two-theta), in order of rising 2θ:
| h k l | 2theta | I (rel.) |
| --- | --- | --- |
| 1 1 1 | 21.5 | 19 |
| 2 1 1 | 25.2 | 30 |
| 0 0 2 | 27.6 | 18 |
| 1 0 2 | 28.7 | 19 |
| 0 2 0 | 29.7 | 45 |
| 3 1 1 | 30.5 | 100 |
| 2 0 2 | 31.6 | 32 |
| 1 2 2 | 41.7 | 21 |
| 2 2 2 | 43.9 | 22 |
| 2 1 3 | 47.4 | 16 |
| 3 1 3 | 50.7 | 17 |
| 3 3 1 | 53.2 | 22 |